Structure and simulated PXRD pattern of LiVF3 (a structure optimized by DFT (PBE+U); Cu Kα, 1.54184 Å).
Peak positions follow from Bragg's law for the DFT cell and can differ from measured ones.

The 8 most intense peaks (10 to 80 degrees two-theta), in order of falling intensity:
38.72°, d 2.325, I = 100, hkl 1 1 3; 18.74°, d 4.735, I = 53, hkl 0 0 3; 51.60°, d 1.771, I = 52, hkl 1 1 6; 20.20°, d 4.396, I = 38, hkl 1 0 1; 22.95°, d 3.875, I = 30, hkl 0 1 2; 60.03°, d 1.541, I = 30, hkl 3 0 0; 31.77°, d 2.816, I = 25, hkl 1 0 4; 69.15°, d 1.358, I = 17, hkl 2 -1 9

Atomic structure:
a b c (Å): 5.3387 5.3387 14.2056
angles (deg): 90.00 90.00 120.00
Space group R-3 (No. 148, hexagonal axes)
Symmetry-distinct sites (fractional):
1 Li 0.0000 0.0000 0.1388 [6 per cell]
2 V 0.0000 0.0000 0.3445 [6 per cell]
3 F 0.0038 0.6926 0.7497 [18 per cell]